Record 1
Diffraction record for Al3V2Tc4. The XRD peak list is theoretical, not measured: it uses a DFT-relaxed cell (GGA-PBE, Alexandria) and Cu Kα (λ = 1.5418 Å).
Kinematic intensities with the Lorentz-polarization factor, no thermal factor.

Largest 10 diffraction maxima, sorted by position, 2θ = 15–90°:
Position (°2θ)  d [Å]  I_rel  (hkl)
26.36  3.381  49  0 1 1
33.01  2.714  13  0 1 2
41.80  2.161  100  1 1 0
42.02  2.150  98  1 0 3
50.09  1.821  8  2 0 1
60.76  1.524  32  0 2 3
63.94  1.456  10  1 1 4
76.31  1.248  16  3 0 0
76.47  1.246  31  2 1 3
76.93  1.239  14  0 1 6

a b c (Å): 4.3225 4.3225 7.8802
angles (deg): 90.00 90.00 120.00
Space group P-3m1 (No. 164)
Symmetry-distinct sites (fractional):
Al: 0.0000 0.0000 0.0000 [1 per cell]
Al: 0.3333 0.6667 0.5572 [2 per cell]
V: 0.3333 0.6667 0.2099 [2 per cell]
Tc: 0.0000 0.0000 0.3429 [2 per cell]
Tc: 0.3333 0.6667 0.8881 [2 per cell]

***

Record 2
Diffraction record for Al4TcW. The XRD peak list is theoretical, not measured: it uses a DFT-relaxed cell (GGA-PBE, Alexandria) and Cu Kα (λ = 1.5418 Å).
Kinematic intensities with the Lorentz-polarization factor, no thermal factor.

Largest 10 diffraction maxima, sorted by position, 2θ = 15–90°:
Position (°2θ)  d [Å]  I_rel  (hkl)
21.83  4.072  66  1 1 1
25.25  3.527  9  2 0 0
36.02  2.494  94  2 2 0
42.51  2.127  100  3 1 1
56.91  1.618  16  3 3 1
64.75  1.440  34  4 2 2
69.21  1.357  31  5 1 1
76.38  1.247  20  4 4 0
80.58  1.192  12  5 3 1
87.46  1.115  15  6 2 0

a b c (Å): 7.0532 7.0532 7.0532
angles (deg): 90.00 90.00 90.00
Space group F-43m (No. 216)
Symmetry-distinct sites (fractional):
Al: 0.1249 0.1249 0.1249 [16 per cell]
Tc: 0.2500 0.2500 0.7500 [4 per cell]
W: 0.0000 0.0000 0.5000 [4 per cell]

***

Record 3
Diffraction record for Y8Al2Tc. The XRD peak list is theoretical, not measured: it uses a DFT-relaxed cell (GGA-PBE, Alexandria) and Cu Kα (λ = 1.5418 Å).
Kinematic intensities with the Lorentz-polarization factor, no thermal factor.

Largest 10 diffraction maxima, sorted by position, 2θ = 15–90°:
Position (°2θ)  d [Å]  I_rel  (hkl)
23.67  3.759  19  1 1 2
32.68  2.740  30  1 0 5
33.01  2.714  40  2 0 0
33.89  2.645  11  0 0 6
35.16  2.552  100  1 2 3
53.02  1.727  10  0 4 0
53.25  1.720  11  0 2 8
60.35  1.534  20  3 2 3
63.89  1.457  11  2 4 0
64.09  1.453  13  2 2 8

a b c (Å): 5.4273 6.9083 15.8716
angles (deg): 90.00 90.00 90.00
Space group Immm (No. 71)
Symmetry-distinct sites (fractional):
Y: 0.0000 0.0000 0.1927 [4 per cell]
Y: 0.0000 0.2379 0.3715 [8 per cell]
Y: 0.0000 0.2470 0.0000 [4 per cell]
Al: 0.0000 0.5000 0.1864 [4 per cell]
Tc: 0.0000 0.5000 0.5000 [2 per cell]

***

Record 4
Diffraction record for Al4ZnTc. The XRD peak list is theoretical, not measured: it uses a DFT-relaxed cell (GGA-PBE, Alexandria) and Cu Kα (λ = 1.5418 Å).
Kinematic intensities with the Lorentz-polarization factor, no thermal factor.

Largest 10 diffraction maxima, sorted by position, 2θ = 15–90°:
Position (°2θ)  d [Å]  I_rel  (hkl)
22.12  4.019  62  1 0 1
25.04  3.556  68  1 1 0
34.35  2.611  47  1 1 -2
34.95  2.568  59  0 2 0
36.34  2.472  65  0 0 3
40.49  2.228  52  0 1 3
41.75  2.164  100  1 2 1
41.95  2.153  60  2 1 -1
42.99  2.104  63  2 1 1
46.34  1.959  63  1 2 -2

a b c (Å): 4.9341 5.1350 7.4254
angles (deg): 90.00 92.68 90.00
Space group P2_1/m (No. 11)
Symmetry-distinct sites (fractional):
Al: 0.0990 0.2500 0.4195 [2 per cell]
Al: 0.1147 0.2500 0.7952 [2 per cell]
Al: 0.3836 0.0055 0.1577 [4 per cell]
Zn: 0.3911 0.7500 0.5038 [2 per cell]
Tc: 0.1333 0.7500 0.8923 [2 per cell]

***

Record 5
Diffraction record for ZrAlTc. The XRD peak list is theoretical, not measured: it uses a DFT-relaxed cell (GGA-PBE, Alexandria) and Cu Kα (λ = 1.5418 Å).
Kinematic intensities with the Lorentz-polarization factor, no thermal factor.

Largest 10 diffraction maxima, sorted by position, 2θ = 15–90°:
Position (°2θ)  d [Å]  I_rel  (hkl)
26.24  3.396  12  0 4 0
33.79  2.653  17  1 1 1
38.78  2.322  100  1 3 1
39.82  2.264  22  0 6 0
40.39  2.233  22  2 0 0
53.95  1.699  10  0 0 2
58.02  1.590  14  2 6 0
71.60  1.318  14  1 9 1
72.37  1.306  15  3 3 1
83.22  1.161  11  2 6 2

a b c (Å): 4.4662 13.5827 3.3990
angles (deg): 90.00 90.00 90.00
Space group Cmmm (No. 65)
Symmetry-distinct sites (fractional):
Zr: 0.0000 0.1664 0.0000 [4 per cell]
Al: 0.0000 0.0000 0.5000 [2 per cell]
Al: 0.0000 0.5000 0.0000 [2 per cell]
Tc: 0.0000 0.3432 0.5000 [4 per cell]

***

Record 6
Diffraction record for Al6Te7. The XRD peak list is theoretical, not measured: it uses a DFT-relaxed cell (GGA-PBE, Alexandria) and Cu Kα (λ = 1.5418 Å).
Kinematic intensities with the Lorentz-polarization factor, no thermal factor.

Largest 10 diffraction maxima, sorted by position, 2θ = 15–90°:
Position (°2θ)  d [Å]  I_rel  (hkl)
20.43  4.347  29  1 0 4
23.42  3.798  43  0 0 6
26.80  3.327  100  0 2 1
27.66  3.225  69  2 0 2
32.99  2.715  67  1 1 6
33.11  2.706  95  2 0 5
35.53  2.527  34  2 1 1
38.49  2.339  91  0 2 7
46.79  1.941  69  2 2 0
69.21  1.357  37  2 2 12

a b c (Å): 7.7659 7.7659 22.7859
angles (deg): 90.00 90.00 120.00
Space group R-3m (No. 166, hexagonal axes)
Symmetry-distinct sites (fractional):
Al: 0.0000 0.0000 0.0619 [6 per cell]
Al: 0.0000 0.0000 0.1794 [6 per cell]
Al: 0.0000 0.0000 0.3336 [6 per cell]
Te: 0.0000 0.0000 0.5000 [3 per cell]
Te: 0.0092 0.5046 0.9193 [18 per cell]

***

Record 7
Diffraction record for Al7Te10. The XRD peak list is theoretical, not measured: it uses a DFT-relaxed cell (GGA-PBE, Alexandria) and Cu Kα (λ = 1.5418 Å).
Kinematic intensities with the Lorentz-polarization factor, no thermal factor.

Largest 10 diffraction maxima, sorted by position, 2θ = 15–90°:
Position (°2θ)  d [Å]  I_rel  (hkl)
25.49  3.495  100  1 3 1
26.89  3.316  45  2 1 4
28.23  3.161  54  4 0 1
36.35  2.471  10  5 0 2
43.99  2.058  18  1 4 6
44.09  2.054  28  5 2 0
46.70  1.945  22  2 5 3
47.44  1.916  13  3 1 8
53.15  1.723  9  6 1 5
53.95  1.699  8  7 1 0

a b c (Å): 14.8059 14.8059 18.2097
angles (deg): 90.00 90.00 120.00
Space group R32 (No. 155, hexagonal axes)
Symmetry-distinct sites (fractional):
Al: 0.0000 0.0000 0.0719 [6 per cell]
Al: 0.0088 0.5958 0.7494 [18 per cell]
Al: 0.0741 0.8817 0.2716 [18 per cell]
Te: 0.0000 0.0000 0.3306 [6 per cell]
Te: 0.0000 0.4208 0.0000 [9 per cell]
Te: 0.0000 0.8194 0.5000 [9 per cell]
Te: 0.0313 0.5622 0.3914 [18 per cell]
Te: 0.0615 0.1899 0.1304 [18 per cell]

***

Record 8
Diffraction record for AlTe5. The XRD peak list is theoretical, not measured: it uses a DFT-relaxed cell (GGA-PBE, Alexandria) and Cu Kα (λ = 1.5418 Å).
Kinematic intensities with the Lorentz-polarization factor, no thermal factor.

Largest 10 diffraction maxima, sorted by position, 2θ = 15–90°:
Position (°2θ)  d [Å]  I_rel  (hkl)
18.63  4.763  34  2 0 1
23.47  3.790  20  1 1 0
26.20  3.401  25  1 1 -1
29.16  3.062  50  2 0 2
29.54  3.024  43  4 0 1
31.18  2.868  100  3 1 -1
33.22  2.697  22  4 0 -2
33.74  2.656  27  1 1 -2
42.49  2.128  48  5 1 1
46.15  1.967  21  0 2 0

a b c (Å): 14.2559 3.9337 7.2651
angles (deg): 90.00 97.10 90.00
Space group Cm (No. 8)
Symmetry-distinct sites (fractional):
Al: 0.0000 0.0000 0.0000 [2 per cell]
Te: 0.1009 0.0000 0.3499 [2 per cell]
Te: 0.1083 0.5000 0.8438 [2 per cell]
Te: 0.2410 0.5000 0.2286 [2 per cell]
Te: 0.3633 0.0000 0.9799 [2 per cell]
Te: 0.4638 0.0000 0.5243 [2 per cell]

***

Record 9
Diffraction record for Al2Te5. The XRD peak list is theoretical, not measured: it uses a DFT-relaxed cell (GGA-PBE, Alexandria) and Cu Kα (λ = 1.5418 Å).
Kinematic intensities with the Lorentz-polarization factor, no thermal factor.

Largest 10 diffraction maxima, sorted by position, 2θ = 15–90°:
Position (°2θ)  d [Å]  I_rel  (hkl)
23.77  3.743  99  2 0 1
23.89  3.724  36  4 0 -2
27.88  3.201  100  1 1 -2
28.00  3.187  78  3 1 -1
28.73  3.107  23  3 1 -2
33.38  2.684  25  3 1 -3
43.08  2.100  27  0 2 0
44.33  2.043  24  1 1 3
44.57  2.033  33  5 1 0
49.81  1.831  36  2 2 1

a b c (Å): 14.9772 4.1999 10.5122
angles (deg): 90.00 129.15 90.00
Space group C2/m (No. 12)
Symmetry-distinct sites (fractional):
Al: 0.1336 0.0000 0.4005 [4 per cell]
Te: 0.0000 0.5000 0.0000 [2 per cell]
Te: 0.0747 0.0000 0.8754 [4 per cell]
Te: 0.1873 0.5000 0.6005 [4 per cell]

***

Record 10
Diffraction record for TiAlTe2. The XRD peak list is theoretical, not measured: it uses a DFT-relaxed cell (GGA-PBE, Alexandria) and Cu Kα (λ = 1.5418 Å).
Kinematic intensities with the Lorentz-polarization factor, no thermal factor.

Largest 10 diffraction maxima, sorted by position, 2θ = 15–90°:
Position (°2θ)  d [Å]  I_rel  (hkl)
28.28  3.155  92  0 0 9
28.82  3.098  37  0 1 2
30.85  2.898  32  1 0 4
32.31  2.771  100  0 1 5
38.02  2.367  39  0 1 8
42.72  2.117  63  1 0 10
49.75  1.833  43  1 1 0
50.73  1.800  23  1 0 13
58.21  1.585  32  1 1 9
80.29  1.196  17  1 1 18

a b c (Å): 3.6654 3.6654 28.4061
angles (deg): 90.00 90.00 120.00
Space group P3_221 (No. 154)
Symmetry-distinct sites (fractional):
Ti: 0.0000 0.6712 0.3333 [3 per cell]
Al: 0.0000 0.6645 0.8333 [3 per cell]
Te: 0.0045 0.6667 0.7285 [6 per cell]

***

Record 11
Diffraction record for TiAl2Te4. The XRD peak list is theoretical, not measured: it uses a DFT-relaxed cell (GGA-PBE, Alexandria) and Cu Kα (λ = 1.5418 Å).
Kinematic intensities with the Lorentz-polarization factor, no thermal factor.

Largest 10 diffraction maxima, sorted by position, 2θ = 15–90°:
Position (°2θ)  d [Å]  I_rel  (hkl)
21.89  4.060  13  2 0 0
25.62  3.477  29  0 0 2
27.71  3.219  100  2 1 1
31.15  2.871  11  2 2 0
33.95  2.641  22  2 0 2
34.94  2.568  11  3 1 0
43.83  2.066  24  3 1 2
46.48  1.954  24  2 1 3
48.01  1.895  31  1 4 1
61.82  1.501  15  1 4 3

a b c (Å): 8.1204 8.1204 6.9532
angles (deg): 90.00 90.00 90.00
Space group I4/m (No. 87)
Symmetry-distinct sites (fractional):
Ti: 0.0000 0.0000 0.0000 [2 per cell]
Al: 0.0000 0.5000 0.2500 [4 per cell]
Te: 0.1663 0.6866 0.0000 [8 per cell]

***

Record 12
Diffraction record for Al2Tl14Te9. The XRD peak list is theoretical, not measured: it uses a DFT-relaxed cell (GGA-PBE, Alexandria) and Cu Kα (λ = 1.5418 Å).
Kinematic intensities with the Lorentz-polarization factor, no thermal factor.

Largest 10 diffraction maxima, sorted by position, 2θ = 15–90°:
Position (°2θ)  d [Å]  I_rel  (hkl)
23.39  3.803  39  0 0 3
24.12  3.689  92  1 1 2
28.18  3.166  77  1 2 0
29.27  3.051  100  3 -1 1
29.89  2.989  53  2 -1 3
32.05  2.792  70  3 0 0
33.03  2.712  33  3 0 1
36.58  2.457  34  2 -1 4
36.94  2.433  80  1 2 3
55.80  1.648  34  5 -4 3

a b c (Å): 9.6730 9.6730 11.4089
angles (deg): 90.00 90.00 120.00
Space group P-3 (No. 147)
Symmetry-distinct sites (fractional):
Al: 0.3333 0.6667 0.2980 [2 per cell]
Tl: 0.0000 0.0000 0.2912 [2 per cell]
Tl: 0.0233 0.6777 0.9006 [6 per cell]
Tl: 0.1113 0.4343 0.6566 [6 per cell]
Te: 0.0000 0.0000 0.0000 [1 per cell]
Te: 0.1167 0.3834 0.3790 [6 per cell]
Te: 0.3333 0.6667 0.0648 [2 per cell]

***

Record 13
Diffraction record for TmAlTlTe3. The XRD peak list is theoretical, not measured: it uses a DFT-relaxed cell (GGA-PBE, Alexandria) and Cu Kα (λ = 1.5418 Å).
Kinematic intensities with the Lorentz-polarization factor, no thermal factor.

Largest 10 diffraction maxima, sorted by position, 2θ = 15–90°:
Position (°2θ)  d [Å]  I_rel  (hkl)
25.69  3.468  10  1 0 -3
27.62  3.230  100  2 1 -1
28.60  3.121  21  2 1 0
31.22  2.865  16  1 1 2
32.46  2.759  15  1 1 -3
32.94  2.719  15  1 0 3
38.16  2.358  13  2 1 2
39.61  2.275  30  0 2 0
40.67  2.218  18  2 1 -4
46.78  1.942  14  3 1 2

a b c (Å): 9.1949 4.5524 10.4046
angles (deg): 90.00 111.16 90.00
Space group P2_1/m (No. 11)
Symmetry-distinct sites (fractional):
Tm: 0.1766 0.2500 0.1378 [2 per cell]
Al: 0.3954 0.7500 0.3790 [2 per cell]
Tl: 0.2881 0.7500 0.7609 [2 per cell]
Te: 0.0305 0.2500 0.8287 [2 per cell]
Te: 0.2926 0.2500 0.4690 [2 per cell]
Te: 0.4029 0.7500 0.1204 [2 per cell]